# Sr5Bi5Au2
Calculated PXRD pattern, Cu Ka. Input: a structure optimized by DFT (GGA-PBE).
Kinematic intensities with the Lorentz-polarization factor, no thermal factor.

Top 10 peaks for 2θ from 10° to 80°, by intensity:
2theta  I/Imax
34.29  100
27.92  74
30.18  52
37.10  50
21.33  46
19.52  45
32.42  32
29.34  32
29.94  26
41.11  25

Crystal structure
a b c (Å): 9.0603 9.0603 12.8106
angles (deg): 129.42 129.42 31.03
Atoms (fractional coordinates):
Sr1 0.0000 0.0000 0.0000
Sr2 0.1091 0.1091 0.4110
Sr3 0.1954 0.1954 0.8191
Sr4 0.8046 0.8046 0.1809
Sr5 0.8909 0.8909 0.5890
Bi1 0.2549 0.2549 0.3197
Bi2 0.4362 0.4362 0.1528
Bi3 0.5000 0.5000 0.5000
Bi4 0.5638 0.5638 0.8472
Bi5 0.7451 0.7451 0.6803
Au1 0.3619 0.3619 0.7557
Au2 0.6381 0.6381 0.2443



# PmIn6Hg12
Calculated PXRD pattern, Cu Ka. Input: a structure optimized by DFT (GGA-PBE).
Kinematic intensities with the Lorentz-polarization factor, no thermal factor.

Top 10 peaks for 2θ from 10° to 80°, by intensity:
2theta  I/Imax
33.23  100
38.24  68
32.12  36
65.96  26
54.45  24
55.92  22
64.64  14
66.62  13
69.77  11
67.18  4

Crystal structure
a b c (Å): 8.7329 8.7329 8.7329
angles (deg): 110.32 110.32 110.32
Atoms (fractional coordinates):
Pm1 0.0000 0.0000 0.0000
In1 0.0790 0.3821 0.5913
In2 0.3821 0.5913 0.0790
In3 0.4087 0.9210 0.6179
In4 0.5913 0.0790 0.3821
In5 0.6179 0.4087 0.9210
In6 0.9210 0.6179 0.4087
Hg1 0.0976 0.7346 0.1637
Hg2 0.1637 0.0976 0.7346
Hg3 0.2003 0.4653 0.3077
Hg4 0.2654 0.8363 0.9024
Hg5 0.3077 0.2003 0.4653
Hg6 0.4653 0.3077 0.2003
Hg7 0.5347 0.6923 0.7997
Hg8 0.6923 0.7997 0.5347
Hg9 0.7346 0.1637 0.0976
Hg10 0.7997 0.5347 0.6923
Hg11 0.8363 0.9024 0.2654
Hg12 0.9024 0.2654 0.8363



# Pa2As2H
Calculated PXRD pattern, Cu Ka. Input: a structure optimized by DFT (GGA-PBE).
Kinematic intensities with the Lorentz-polarization factor, no thermal factor.

Top 10 peaks for 2θ from 10° to 80°, by intensity:
2theta  I/Imax
24.03  100
35.71  81
26.69  78
33.14  74
25.36  65
36.73  64
43.93  46
42.18  39
36.31  30
48.66  29

Crystal structure
a b c (Å): 5.4172 5.4172 10.8140
angles (deg): 90.00 90.00 139.58
Atoms (fractional coordinates):
Pa1 0.0392 0.9608 0.5000
Pa2 0.2419 0.7581 0.7478
Pa3 0.7581 0.2419 0.2478
Pa4 0.9608 0.0392 0.0000
As1 0.0439 0.9561 0.2445
As2 0.3221 0.6779 0.4586
As3 0.6779 0.3221 0.9586
As4 0.9561 0.0439 0.7445
H1 0.3518 0.6482 0.1221
H2 0.6482 0.3518 0.6221



# LaTmTe2S
Calculated PXRD pattern, Cu Ka. Input: a structure optimized by DFT (GGA-PBE).
Kinematic intensities with the Lorentz-polarization factor, no thermal factor.

Top 10 peaks for 2θ from 10° to 80°, by intensity:
2theta  I/Imax
28.15  100
40.23  49
36.51  42
22.82  40
40.07  31
26.24  30
45.07  22
58.08  21
46.74  19
65.87  18

Crystal structure
a b c (Å): 4.4837 4.4837 15.6122
angles (deg): 90.00 90.00 90.00
Atoms (fractional coordinates):
La1 0.2500 0.2500 0.1072
La2 0.7500 0.7500 0.8928
Tm1 0.2500 0.2500 0.6087
Tm2 0.7500 0.7500 0.3913
Te1 0.2500 0.2500 0.4074
Te2 0.2500 0.2500 0.7919
Te3 0.7500 0.7500 0.2081
Te4 0.7500 0.7500 0.5926
S1 0.2500 0.7500 0.0000
S2 0.7500 0.2500 0.0000